Record 1
This entry pairs a crystal structure of PrTm2Mg4In2 with its simulated X-ray powder pattern. Radiation: CuKα. Structure: a crystal structure in OQMD, relaxed with GGA-PBE.

Structure:
a b c (Å): 4.711 7.628 7.628
angles (deg): 121.30 90.00 90.00
Element x y z (fractional)
Pr (0.000, 0.000, 0.000)
Tm (0.000, 0.429, 0.867)
Tm (0.000, 0.867, 0.429)
Mg (0.000, 0.444, 0.444)
Mg (0.500, 0.192, 0.433)
Mg (0.500, 0.433, 0.192)
Mg (0.500, 0.678, 0.678)
In (0.500, 0.099, 0.757)
In (0.500, 0.757, 0.099)

The 10 most intense peaks (2θ = 10–90°), in order of rising 2θ:
d 6.649, 2θ 13.32, I 41.2
d 6.518, 2θ 13.59, I 41.1
d 2.964, 2θ 30.15, I 87.0
d 2.929, 2θ 30.53, I 53.0
d 2.716, 2θ 32.98, I 46.9
d 2.680, 2θ 33.43, I 100.0
d 2.355, 2θ 38.21, I 37.5
d 1.907, 2θ 47.68, I 19.4
d 1.715, 2θ 53.41, I 24.4
d 1.451, 2θ 64.18, I 19.4



Record 2
This entry pairs a crystal structure of SmYMgIn with its simulated X-ray powder pattern. Radiation: CuKα. Structure: a crystal structure in OQMD, relaxed with GGA-PBE.

Structure:
a b c (Å): 7.579 7.579 7.579
angles (deg): 90.00 90.00 90.00
Element x y z (fractional)
Sm (0.000, 0.000, 0.000)
Sm (0.000, 0.500, 0.500)
Sm (0.500, 0.000, 0.500)
Sm (0.500, 0.500, 0.000)
Y (0.000, 0.000, 0.500)
Y (0.000, 0.500, 0.000)
Y (0.500, 0.000, 0.000)
Y (0.500, 0.500, 0.500)
Mg (0.250, 0.250, 0.750)
Mg (0.250, 0.750, 0.250)
Mg (0.750, 0.250, 0.250)
Mg (0.750, 0.750, 0.750)
In (0.250, 0.250, 0.250)
In (0.250, 0.750, 0.750)
In (0.750, 0.250, 0.750)
In (0.750, 0.750, 0.250)

The 10 most intense peaks (2θ = 10–90°), in order of rising 2θ:
d 4.376, 2θ 20.30, I 18.2
d 3.789, 2θ 23.48, I 8.0
d 2.680, 2θ 33.44, I 100.0
d 2.285, 2θ 39.43, I 10.3
d 1.895, 2θ 48.02, I 17.8
d 1.739, 2θ 52.64, I 4.4
d 1.547, 2θ 59.78, I 36.5
d 1.340, 2θ 70.26, I 11.1
d 1.198, 2θ 80.08, I 15.5
d 1.094, 2θ 89.62, I 4.0



Record 3
This entry pairs a crystal structure of Nb4In3Mo2N3 with its simulated X-ray powder pattern. Radiation: CuKα. Structure: a crystal structure in OQMD, relaxed with GGA-PBE.

Structure:
a b c (Å): 5.545 5.545 14.351
angles (deg): 101.03 101.03 59.87
Element x y z (fractional)
Nb (0.014, 0.208, 0.082)
Nb (0.154, 0.304, 0.418)
Nb (0.208, 0.014, 0.582)
Nb (0.304, 0.154, 0.918)
Nb (0.696, 0.846, 0.082)
Nb (0.792, 0.986, 0.418)
Nb (0.846, 0.696, 0.582)
Nb (0.986, 0.792, 0.918)
In (0.093, 0.907, 0.250)
In (0.261, 0.416, 0.748)
In (0.416, 0.261, 0.248)
In (0.584, 0.739, 0.752)
In (0.739, 0.584, 0.252)
In (0.907, 0.093, 0.750)
Mo (0.374, 0.527, 0.078)
Mo (0.473, 0.626, 0.422)
Mo (0.527, 0.374, 0.578)
Mo (0.626, 0.473, 0.922)
N (0.000, 0.500, 0.000)
N (0.155, 0.672, 0.500)
N (0.328, 0.845, 0.000)
N (0.500, 0.000, 0.500)
N (0.672, 0.155, 0.000)
N (0.845, 0.328, 0.500)

The 10 most intense peaks (2θ = 10–90°), in order of rising 2θ:
d 2.770, 2θ 32.31, I 31.8
d 2.383, 2θ 37.74, I 100.0
d 2.380, 2θ 37.80, I 49.2
d 2.333, 2θ 38.59, I 28.7
d 1.783, 2θ 51.23, I 15.4
d 1.602, 2θ 57.54, I 9.8
d 1.598, 2θ 57.67, I 19.5
d 1.355, 2θ 69.33, I 15.2
d 1.319, 2θ 71.52, I 13.1
d 1.318, 2θ 71.60, I 8.5



Record 4
This entry pairs a crystal structure of InTe5Mo3 with its simulated X-ray powder pattern. Radiation: CuKα. Structure: a crystal structure in OQMD, relaxed with GGA-PBE.

Structure:
a b c (Å): 5.971 5.971 8.182
angles (deg): 90.00 90.00 120.00
Element x y z (fractional)
In (0.000, 0.000, 0.000)
Te (0.000, 0.000, 0.500)
Te (0.333, 0.667, 0.236)
Te (0.333, 0.667, 0.764)
Te (0.667, 0.333, 0.236)
Te (0.667, 0.333, 0.764)
Mo (0.000, 0.500, 0.500)
Mo (0.500, 0.000, 0.500)
Mo (0.500, 0.500, 0.500)

The 10 most intense peaks (2θ = 10–90°), in order of rising 2θ:
d 8.182, 2θ 10.81, I 49.0
d 3.208, 2θ 27.81, I 72.2
d 2.986, 2θ 29.93, I 81.4
d 2.465, 2θ 36.44, I 24.6
d 2.412, 2θ 37.28, I 31.7
d 2.186, 2θ 41.31, I 100.0
d 1.764, 2θ 51.84, I 25.5
d 1.687, 2θ 54.37, I 28.4
d 1.493, 2θ 62.19, I 25.5
d 1.206, 2θ 79.47, I 36.9



Record 5
This entry pairs a crystal structure of Nb2InN2 with its simulated X-ray powder pattern. Radiation: CuKα. Structure: a crystal structure in OQMD, relaxed with GGA-PBE.

Structure:
a b c (Å): 6.275 6.275 6.275
angles (deg): 123.77 123.77 83.58
Element x y z (fractional)
Nb (0.000, 0.000, 0.000)
Nb (0.000, 0.000, 0.500)
Nb (0.000, 0.500, 0.000)
Nb (0.500, 0.000, 0.500)
In (0.375, 0.625, 0.750)
In (0.625, 0.375, 0.250)
N (0.148, 0.398, 0.750)
N (0.398, 0.148, 0.250)
N (0.602, 0.852, 0.750)
N (0.852, 0.602, 0.250)

The 10 most intense peaks (2θ = 10–90°), in order of rising 2θ:
d 3.118, 2θ 28.63, I 21.1
d 2.957, 2θ 30.23, I 24.4
d 2.759, 2θ 32.45, I 55.3
d 2.545, 2θ 35.27, I 100.0
d 2.499, 2θ 35.93, I 52.9
d 1.784, 2θ 51.20, I 18.3
d 1.666, 2θ 55.12, I 12.0
d 1.615, 2θ 57.01, I 24.0
d 1.559, 2θ 59.28, I 34.6
d 1.478, 2θ 62.86, I 14.7



Record 6
This entry pairs a crystal structure of Zr2Nb4In3N3 with its simulated X-ray powder pattern. Radiation: CuKα. Structure: a crystal structure in OQMD, relaxed with GGA-PBE.

Structure:
a b c (Å): 5.618 5.618 14.705
angles (deg): 100.97 100.97 60.19
Element x y z (fractional)
Zr (0.030, 0.862, 0.590)
Zr (0.138, 0.970, 0.910)
Zr (0.862, 0.030, 0.090)
Zr (0.970, 0.138, 0.410)
Nb (0.194, 0.363, 0.078)
Nb (0.312, 0.469, 0.422)
Nb (0.363, 0.194, 0.578)
Nb (0.469, 0.312, 0.922)
Nb (0.531, 0.688, 0.078)
Nb (0.637, 0.806, 0.422)
Nb (0.688, 0.531, 0.578)
Nb (0.806, 0.637, 0.922)
In (0.082, 0.281, 0.749)
In (0.281, 0.082, 0.249)
In (0.446, 0.554, 0.750)
In (0.554, 0.446, 0.250)
In (0.719, 0.918, 0.751)
In (0.918, 0.719, 0.251)
N (0.000, 0.500, 0.500)
N (0.160, 0.680, 0.000)
N (0.320, 0.840, 0.500)
N (0.500, 0.000, 0.000)
N (0.680, 0.160, 0.500)
N (0.840, 0.320, 0.000)

The 10 most intense peaks (2θ = 10–90°), in order of rising 2θ:
d 2.812, 2θ 31.82, I 31.5
d 2.427, 2θ 37.03, I 50.4
d 2.422, 2θ 37.12, I 100.0
d 2.391, 2θ 37.62, I 29.3
d 1.821, 2θ 50.08, I 23.3
d 1.625, 2θ 56.64, I 19.3
d 1.620, 2θ 56.82, I 9.6
d 1.387, 2θ 67.55, I 22.9
d 1.348, 2θ 69.79, I 13.9
d 1.341, 2θ 70.16, I 8.7



Record 7
This entry pairs a crystal structure of InTcNO with its simulated X-ray powder pattern. Radiation: CuKα. Structure: a crystal structure in OQMD, relaxed with GGA-PBE.

Structure:
a b c (Å): 5.597 7.672 4.961
angles (deg): 90.00 90.00 90.00
Element x y z (fractional)
In (0.030, 0.147, 0.000)
In (0.470, 0.147, 0.500)
In (0.530, 0.853, 0.000)
In (0.970, 0.853, 0.500)
Tc (0.126, 0.657, 0.026)
Tc (0.374, 0.657, 0.526)
Tc (0.626, 0.343, 0.026)
Tc (0.874, 0.343, 0.526)
N (0.074, 0.142, 0.479)
N (0.426, 0.142, 0.979)
N (0.574, 0.858, 0.479)
N (0.926, 0.858, 0.979)
O (0.126, 0.499, 0.705)
O (0.374, 0.499, 0.205)
O (0.626, 0.501, 0.705)
O (0.874, 0.501, 0.205)

The 10 most intense peaks (2θ = 10–90°), in order of rising 2θ:
d 4.522, 2θ 19.63, I 10.3
d 3.164, 2θ 28.20, I 26.1
d 2.798, 2θ 31.98, I 14.2
d 2.668, 2θ 33.59, I 100.0
d 2.481, 2θ 36.21, I 35.1
d 2.437, 2θ 36.88, I 23.5
d 1.952, 2θ 46.52, I 12.3
d 1.703, 2θ 53.82, I 28.6
d 1.517, 2θ 61.07, I 11.1
d 1.465, 2θ 63.48, I 17.7



Record 8
This entry pairs a crystal structure of Sr8In4Pd3N5 with its simulated X-ray powder pattern. Radiation: CuKα. Structure: a crystal structure in OQMD, relaxed with GGA-PBE.

Structure:
a b c (Å): 11.674 11.674 11.674
angles (deg): 160.97 114.00 69.39
Element x y z (fractional)
Sr (0.070, 0.215, 0.854)
Sr (0.247, 0.398, 0.849)
Sr (0.361, 0.215, 0.146)
Sr (0.451, 0.602, 0.849)
Sr (0.549, 0.398, 0.151)
Sr (0.639, 0.785, 0.854)
Sr (0.753, 0.602, 0.151)
Sr (0.930, 0.785, 0.146)
In (0.087, 0.587, 0.500)
In (0.139, 0.000, 0.139)
In (0.861, 0.000, 0.861)
In (0.913, 0.413, 0.500)
Pd (0.310, 0.810, 0.500)
Pd (0.500, 0.000, 0.500)
Pd (0.690, 0.190, 0.500)
N (0.144, 0.807, 0.337)
N (0.471, 0.807, 0.663)
N (0.500, 0.500, 0.000)
N (0.529, 0.193, 0.337)
N (0.856, 0.193, 0.663)

The 10 most intense peaks (2θ = 10–90°), in order of rising 2θ:
d 6.358, 2θ 13.93, I 16.8
d 2.854, 2θ 31.34, I 96.9
d 2.846, 2θ 31.44, I 90.9
d 2.722, 2θ 32.90, I 100.0
d 2.121, 2θ 42.63, I 38.8
d 1.930, 2θ 47.08, I 20.2
d 1.672, 2θ 54.90, I 29.7
d 1.597, 2θ 57.71, I 32.1
d 1.593, 2θ 57.89, I 22.6
d 1.427, 2θ 65.39, I 15.8



Record 9
This entry pairs a crystal structure of InRe3N2 with its simulated X-ray powder pattern. Radiation: CuKα. Structure: a crystal structure in OQMD, relaxed with GGA-PBE.

Structure:
a b c (Å): 3.887 3.887 5.353
angles (deg): 90.00 90.00 90.00
Element x y z (fractional)
In (0.000, 0.000, 0.000)
Re (0.000, 0.500, 0.408)
Re (0.500, 0.000, 0.592)
Re (0.500, 0.500, 0.000)
N (0.000, 0.500, 0.760)
N (0.500, 0.000, 0.240)

The 10 most intense peaks (2θ = 10–90°), in order of rising 2θ:
d 3.145, 2θ 28.38, I 18.0
d 2.677, 2θ 33.48, I 15.5
d 2.445, 2θ 36.76, I 100.0
d 2.204, 2θ 40.94, I 24.2
d 1.943, 2θ 46.74, I 33.1
d 1.622, 2θ 56.77, I 11.9
d 1.573, 2θ 58.71, I 12.8
d 1.458, 2θ 63.85, I 13.2
d 1.374, 2θ 68.25, I 10.6
d 1.198, 2θ 80.11, I 21.3



Record 10
This entry pairs a crystal structure of In2ReWN6 with its simulated X-ray powder pattern. Radiation: CuKα. Structure: a crystal structure in OQMD, relaxed with GGA-PBE.

Structure:
a b c (Å): 5.294 5.294 10.135
angles (deg): 90.00 90.00 120.00
Element x y z (fractional)
In (0.333, 0.667, 0.047)
In (0.333, 0.667, 0.453)
In (0.667, 0.333, 0.547)
In (0.667, 0.333, 0.953)
Re (0.333, 0.667, 0.750)
Re (0.667, 0.333, 0.250)
W (0.000, 0.000, 0.250)
W (0.000, 0.000, 0.750)
N (0.042, 0.338, 0.863)
N (0.042, 0.704, 0.637)
N (0.296, 0.338, 0.637)
N (0.296, 0.958, 0.863)
N (0.338, 0.042, 0.363)
N (0.338, 0.296, 0.137)
N (0.662, 0.704, 0.863)
N (0.662, 0.958, 0.637)
N (0.704, 0.042, 0.137)
N (0.704, 0.662, 0.363)
N (0.958, 0.296, 0.363)
N (0.958, 0.662, 0.137)

The 10 most intense peaks (2θ = 10–90°), in order of rising 2θ:
d 5.068, 2θ 17.50, I 17.7
d 4.178, 2θ 21.27, I 23.6
d 3.400, 2θ 26.21, I 43.3
d 2.720, 2θ 32.93, I 66.7
d 2.647, 2θ 33.86, I 100.0
d 1.897, 2θ 47.96, I 25.7
d 1.830, 2θ 49.82, I 50.5
d 1.542, 2θ 59.99, I 24.5
d 1.528, 2θ 60.58, I 25.0
d 1.424, 2θ 65.56, I 17.5



Record 11
This entry pairs a crystal structure of Sc4Ta2In3N3 with its simulated X-ray powder pattern. Radiation: CuKα. Structure: a crystal structure in OQMD, relaxed with GGA-PBE.

Structure:
a b c (Å): 5.622 5.622 14.722
angles (deg): 101.00 101.00 60.20
Element x y z (fractional)
Sc (0.034, 0.189, 0.084)
Sc (0.132, 0.306, 0.416)
Sc (0.189, 0.034, 0.584)
Sc (0.306, 0.132, 0.916)
Sc (0.694, 0.868, 0.084)
Sc (0.811, 0.966, 0.416)
Sc (0.868, 0.694, 0.584)
Sc (0.966, 0.811, 0.916)
Ta (0.355, 0.525, 0.074)
Ta (0.475, 0.645, 0.426)
Ta (0.525, 0.355, 0.574)
Ta (0.645, 0.475, 0.926)
In (0.102, 0.898, 0.250)
In (0.268, 0.417, 0.751)
In (0.417, 0.268, 0.251)
In (0.583, 0.732, 0.749)
In (0.732, 0.583, 0.249)
In (0.898, 0.102, 0.750)
N (0.000, 0.500, 0.000)
N (0.169, 0.666, 0.500)
N (0.334, 0.831, 0.000)
N (0.500, 0.000, 0.500)
N (0.666, 0.169, 0.000)
N (0.831, 0.334, 0.500)

The 10 most intense peaks (2θ = 10–90°), in order of rising 2θ:
d 4.848, 2θ 18.30, I 26.0
d 4.749, 2θ 18.68, I 16.6
d 2.811, 2θ 31.83, I 21.1
d 2.430, 2θ 37.00, I 53.6
d 2.424, 2θ 37.09, I 100.0
d 2.393, 2θ 37.58, I 28.4
d 1.823, 2θ 50.03, I 23.3
d 1.626, 2θ 56.60, I 21.4
d 1.388, 2θ 67.48, I 22.2
d 1.349, 2θ 69.73, I 16.4



Record 12
This entry pairs a crystal structure of Zr4InSiN2 with its simulated X-ray powder pattern. Radiation: CuKα. Structure: a crystal structure in OQMD, relaxed with GGA-PBE.

Structure:
a b c (Å): 3.289 3.289 14.171
angles (deg): 90.00 90.00 120.00
Element x y z (fractional)
Zr (0.000, 0.000, 0.146)
Zr (0.000, 0.000, 0.854)
Zr (0.667, 0.333, 0.325)
Zr (0.667, 0.333, 0.675)
In (0.000, 0.000, 0.500)
Si (0.667, 0.333, 0.000)
N (0.333, 0.667, 0.238)
N (0.333, 0.667, 0.762)

The 10 most intense peaks (2θ = 10–90°), in order of rising 2θ:
d 2.848, 2θ 31.41, I 24.1
d 2.643, 2θ 33.92, I 11.1
d 2.439, 2θ 36.85, I 100.0
d 2.362, 2θ 38.10, I 15.0
d 1.818, 2θ 50.18, I 13.5
d 1.644, 2θ 55.92, I 22.1
d 1.504, 2θ 61.66, I 9.0
d 1.378, 2θ 68.03, I 9.4
d 1.363, 2θ 68.86, I 15.1
d 1.350, 2θ 69.68, I 14.9



Question: Number 5 is which compound?
Answer: Nb2InN2